# K2Cd5Hg4
Simulated XRD peak list, Cu Kα X-rays. Input: the GGA-PBE geometry in Alexandria.
Lines closer than 0.1° are merged.

Principal peaks in the range 10 to 80 degrees two-theta, in order of falling intensity:
d 2.371, 37.95°, I = 100; d 5.286, 16.77°, I = 85; d 2.830, 31.61°, I = 84; d 2.630, 34.09°, I = 83; d 5.501, 16.11°, I = 48; d 2.333, 38.59°, I = 40; d 3.133, 28.49°, I = 38; d 2.420, 37.16°, I = 31; d 2.081, 43.48°, I = 22; d 1.589, 58.05°, I = 21

Crystal structure
Cell: 6.3690 11.0011 18.6625 Å, 90.00 90.00 90.00°
Space group Fmmm (No. 69)
One atom of each set of equivalent atoms:
K  0.0000  0.0000  0.1355 x8
Cd  0.0000  0.0000  0.5000 x4
Cd  0.2500  0.2500  0.0000 x8
Cd  0.2500  0.2500  0.2500 x8
Hg  0.0000  0.1526  0.3692 x16